Tm5Ag2Pb5: calculated powder XRD pattern (Cu Kα X-rays), based on a cell relaxed with PBE.
No peak broadening, texture or thermal motion is included.

Structural model:
```
data_Tm5Ag2Pb5
_chemical_formula_sum 'Tm5 Ag2 Pb5'
_cell_length_a 8.589
_cell_length_b 8.589
_cell_length_c 10.343
_cell_angle_alpha 126.67
_cell_angle_beta 126.67
_cell_angle_gamma 31.72
_space_group_name_H-M_alt 'P 1'
_space_group_IT_number 1
loop_
_space_group_symop_operation_xyz
'x,y,z'
loop_
_atom_site_label
_atom_site_fract_x
_atom_site_fract_y
_atom_site_fract_z
Tm1 0.000 0.000 0.000
Tm2 0.104 0.104 0.788
Tm3 0.183 0.183 0.537
Tm4 0.817 0.817 0.463
Tm5 0.896 0.896 0.212
Ag1 0.353 0.353 0.983
Ag2 0.647 0.647 0.017
Pb1 0.254 0.254 0.204
Pb2 0.429 0.429 0.736
Pb3 0.500 0.500 0.500
Pb4 0.571 0.571 0.264
Pb5 0.746 0.746 0.796
```

Principal peaks in the range 5° ≤ 2θ ≤ 70°, most intense first:
| d_spacing | Position (°2θ) | intensity |
| --- | --- | --- |
| 2.585 | 34.7 | 100.0 |
| 2.779 | 32.2 | 99.8 |
| 2.737 | 32.7 | 48.7 |
| 2.347 | 38.3 | 43.6 |
| 1.782 | 51.3 | 27.9 |
| 2.027 | 44.7 | 15.6 |
| 1.397 | 67.0 | 15.5 |
| 2.702 | 33.2 | 14.6 |
| 1.425 | 65.5 | 13.5 |
| 1.513 | 61.3 | 12.9 |
| 2.549 | 35.2 | 12.4 |
| 1.534 | 60.3 | 12.3 |



YAgPb: calculated powder XRD pattern (Cu Kα X-rays), based on a cell relaxed with PBE.
No peak broadening, texture or thermal motion is included.

Structural model:
```
data_YAgPb
_chemical_formula_sum 'Y2 Ag2 Pb2'
_cell_length_a 4.547
_cell_length_b 4.547
_cell_length_c 7.380
_cell_angle_alpha 90.00
_cell_angle_beta 90.00
_cell_angle_gamma 90.00
_space_group_name_H-M_alt 'P 1'
_space_group_IT_number 1
loop_
_space_group_symop_operation_xyz
'x,y,z'
loop_
_atom_site_label
_atom_site_fract_x
_atom_site_fract_y
_atom_site_fract_z
Y1 0.250 0.250 0.196
Y2 0.750 0.750 0.804
Ag1 0.250 0.750 0.500
Ag2 0.750 0.250 0.500
Pb1 0.250 0.250 0.767
Pb2 0.750 0.750 0.233
```

Principal peaks in the range 5° ≤ 2θ ≤ 70°, most intense first:
| d_spacing | Position (°2θ) | intensity |
| --- | --- | --- |
| 2.424 | 37.1 | 100.0 |
| 2.274 | 39.6 | 47.0 |
| 2.948 | 30.3 | 31.9 |
| 3.871 | 23.0 | 30.1 |
| 3.215 | 27.7 | 24.0 |
| 1.608 | 57.3 | 15.8 |
| 1.670 | 55.0 | 13.7 |
| 1.433 | 65.1 | 13.2 |
| 3.690 | 24.1 | 12.6 |
| 2.460 | 36.5 | 11.5 |
| 1.961 | 46.3 | 10.6 |
| 2.164 | 41.7 | 10.6 |



YAgPb: calculated powder XRD pattern (Cu Kα X-rays), based on a cell relaxed with PBE.
No peak broadening, texture or thermal motion is included.

Structural model:
```
data_YAgPb
_chemical_formula_sum 'Y2 Ag2 Pb2'
_cell_length_a 4.492
_cell_length_b 4.568
_cell_length_c 7.704
_cell_angle_alpha 90.00
_cell_angle_beta 106.81
_cell_angle_gamma 90.00
_space_group_name_H-M_alt 'P 1'
_space_group_IT_number 1
loop_
_space_group_symop_operation_xyz
'x,y,z'
loop_
_atom_site_label
_atom_site_fract_x
_atom_site_fract_y
_atom_site_fract_z
Y1 0.154 0.000 0.306
Y2 0.846 0.000 0.694
Ag1 0.000 0.500 0.000
Ag2 0.500 0.000 0.000
Pb1 0.338 0.500 0.678
Pb2 0.662 0.500 0.322
```

Principal peaks in the range 5° ≤ 2θ ≤ 70°, most intense first:
| d_spacing | Position (°2θ) | intensity |
| --- | --- | --- |
| 2.684 | 33.4 | 100.0 |
| 2.458 | 36.6 | 18.4 |
| 2.284 | 39.5 | 16.2 |
| 2.246 | 40.1 | 15.4 |
| 1.384 | 67.7 | 12.7 |
| 1.367 | 68.7 | 12.2 |
| 1.673 | 54.9 | 11.3 |
| 1.601 | 57.6 | 10.6 |
| 4.568 | 19.4 | 6.9 |
| 3.316 | 26.9 | 6.9 |
| 1.460 | 63.7 | 6.5 |
| 1.458 | 63.9 | 6.4 |



YAgPb: calculated powder XRD pattern (Cu Kα X-rays), based on a cell relaxed with PBE.
No peak broadening, texture or thermal motion is included.

Structural model:
```
data_YAgPb
_chemical_formula_sum 'Y2 Ag2 Pb2'
_cell_length_a 5.035
_cell_length_b 5.062
_cell_length_c 6.790
_cell_angle_alpha 89.40
_cell_angle_beta 89.85
_cell_angle_gamma 60.31
_space_group_name_H-M_alt 'P 1'
_space_group_IT_number 1
loop_
_space_group_symop_operation_xyz
'x,y,z'
loop_
_atom_site_label
_atom_site_fract_x
_atom_site_fract_y
_atom_site_fract_z
Y1 0.000 0.000 0.000
Y2 0.333 0.334 0.623
Ag1 0.333 0.334 0.152
Ag2 0.666 0.667 0.291
Pb1 0.667 0.666 0.839
Pb2 0.999 0.001 0.457
```

Principal peaks in the range 5° ≤ 2θ ≤ 70°, most intense first:
| d_spacing | Position (°2θ) | intensity |
| --- | --- | --- |
| 2.688 | 33.3 | 100.0 |
| 2.534 | 35.4 | 91.4 |
| 2.674 | 33.5 | 49.4 |
| 2.517 | 35.7 | 44.9 |
| 1.484 | 62.6 | 24.0 |
| 3.677 | 24.2 | 21.6 |
| 1.854 | 49.1 | 16.7 |
| 1.493 | 62.2 | 16.4 |
| 1.836 | 49.7 | 16.2 |
| 1.830 | 49.8 | 16.0 |
| 1.578 | 58.5 | 9.7 |
| 3.709 | 24.0 | 9.0 |



Y2Ag3Pb: calculated powder XRD pattern (Cu Kα X-rays), based on a cell relaxed with PBE.
No peak broadening, texture or thermal motion is included.

Structural model:
```
data_Y2Ag3Pb
_chemical_formula_sum 'Y4 Ag6 Pb2'
_cell_length_a 3.703
_cell_length_b 4.465
_cell_length_c 18.574
_cell_angle_alpha 90.00
_cell_angle_beta 90.00
_cell_angle_gamma 90.00
_space_group_name_H-M_alt 'P 1'
_space_group_IT_number 1
loop_
_space_group_symop_operation_xyz
'x,y,z'
loop_
_atom_site_label
_atom_site_fract_x
_atom_site_fract_y
_atom_site_fract_z
Y1 0.000 0.000 0.000
Y2 0.000 0.500 0.214
Y3 0.500 0.000 0.714
Y4 0.500 0.500 0.500
Ag1 0.000 0.000 0.567
Ag2 0.000 0.500 0.649
Ag3 0.000 0.500 0.795
Ag4 0.500 0.000 0.149
Ag5 0.500 0.000 0.295
Ag6 0.500 0.500 0.067
Pb1 0.000 0.000 0.411
Pb2 0.500 0.500 0.911
```

Principal peaks in the range 5° ≤ 2θ ≤ 70°, most intense first:
| d_spacing | Position (°2θ) | intensity |
| --- | --- | --- |
| 2.725 | 32.9 | 100.0 |
| 2.623 | 34.2 | 54.0 |
| 2.281 | 39.5 | 51.4 |
| 4.341 | 20.5 | 37.0 |
| 3.627 | 24.5 | 29.8 |
| 2.232 | 40.4 | 29.5 |
| 1.700 | 53.9 | 28.8 |
| 2.097 | 43.1 | 22.9 |
| 1.438 | 64.9 | 22.9 |
| 1.852 | 49.2 | 16.5 |
| 1.425 | 65.5 | 13.7 |
| 2.855 | 31.3 | 12.7 |



Zn4Ag8Pb: calculated powder XRD pattern (Cu Kα X-rays), based on a cell relaxed with PBE.
No peak broadening, texture or thermal motion is included.

Structural model:
```
data_Zn4Ag8Pb
_chemical_formula_sum 'Zn4 Ag8 Pb1'
_cell_length_a 7.178
_cell_length_b 7.178
_cell_length_c 7.178
_cell_angle_alpha 97.72
_cell_angle_beta 97.72
_cell_angle_gamma 137.00
_space_group_name_H-M_alt 'P 1'
_space_group_IT_number 1
loop_
_space_group_symop_operation_xyz
'x,y,z'
loop_
_atom_site_label
_atom_site_fract_x
_atom_site_fract_y
_atom_site_fract_z
Zn1 0.000 0.000 0.500
Zn2 0.000 0.500 0.000
Zn3 0.500 0.000 0.000
Zn4 0.500 0.500 0.500
Ag1 0.000 0.218 0.218
Ag2 0.000 0.782 0.782
Ag3 0.149 0.500 0.649
Ag4 0.218 0.000 0.218
Ag5 0.500 0.149 0.649
Ag6 0.500 0.851 0.351
Ag7 0.782 0.000 0.782
Ag8 0.851 0.500 0.351
Pb1 0.500 0.500 0.000
```

Principal peaks in the range 5° ≤ 2θ ≤ 70°, most intense first:
| d_spacing | Position (°2θ) | intensity |
| --- | --- | --- |
| 2.345 | 38.4 | 100.0 |
| 2.702 | 33.2 | 47.5 |
| 2.361 | 38.1 | 45.0 |
| 2.298 | 39.2 | 44.7 |
| 2.067 | 43.8 | 28.2 |
| 2.631 | 34.1 | 24.8 |
| 1.360 | 69.1 | 23.1 |
| 1.458 | 63.9 | 21.5 |
| 1.351 | 69.6 | 18.8 |
| 2.100 | 43.1 | 14.5 |
| 3.294 | 27.1 | 14.3 |
| 2.112 | 42.8 | 11.3 |